This entry pairs a crystal structure of Ta3Os2 with its calculated powder X-ray diffraction pattern. Radiation: Cu Kα. Structure: a crystal structure in the Materials Project, relaxed with PBE.

Atomic structure:
```
data_Ta3Os2
_symmetry_space_group_name_H-M 'C m m 2'
_symmetry_Int_Tables_number 35
_symmetry_space_group_name_Hall 'C 2 -2'
_cell_length_a 14.041
_cell_length_b 14.047
_cell_length_c 5.074
_cell_angle_alpha 90.00
_cell_angle_beta 90.00
_cell_angle_gamma 90.00
loop_
_atom_site_label
_atom_site_type_symbol
_atom_site_fract_x
_atom_site_fract_y
_atom_site_fract_z
Ta1 Ta 0.000 0.101 0.000
Ta2 Ta 0.000 0.318 0.747
Ta3 Ta 0.000 0.319 0.248
Ta4 Ta 0.103 0.500 0.495
Ta5 Ta 0.168 0.203 0.996
Ta6 Ta 0.181 0.000 0.245
Ta7 Ta 0.204 0.333 0.496
Os1 Os 0.000 0.000 0.514
Os2 Os 0.000 0.500 0.995
Os3 Os 0.096 0.161 0.497
Os4 Os 0.164 0.406 0.997
Os5 Os 0.182 0.000 0.747
```

Main lines, low angle first (10° ≤ 2θ ≤ 90°):
- hkl 0 0 2, 2θ 35.38, I = 20.0
- hkl 3 5 0, 2θ 37.34, I = 80.1
- hkl 6 0 0, 2θ 38.46, I = 35.6
- hkl 2 2 2, 2θ 39.90, I = 30.7
- hkl 1 3 2, 2θ 40.97, I = 65.5
- hkl 5 3 1, 2θ 41.50, I = 100.0
- hkl 6 0 1, 2θ 42.53, I = 50.5
- hkl 2 8 2, 2θ 66.07, I = 20.1
- hkl 5 3 3, 2θ 67.69, I = 23.7
- hkl 9 5 0, 2θ 68.83, I = 18.1